Bi2B8O15: computed powder diffraction line list (Cu Kα), based on a crystal structure in the Materials Project, relaxed with PBE.

Cell and atoms:
```
data_Bi2B8O15
_space_group_name_H-M_alt 'P -1'
_space_group_IT_number 2
_space_group_name_Hall '-P 1'
_cell_length_a 4.370
_cell_length_b 6.548
_cell_length_c 22.993
_cell_angle_alpha 87.56
_cell_angle_beta 86.15
_cell_angle_gamma 75.34
loop_
_atom_site_label
_atom_site_fract_x
_atom_site_fract_y
_atom_site_fract_z
Bi1 0.088 0.109 0.067
Bi2 0.377 0.374 0.566
B1 0.049 0.007 0.569
B2 0.161 0.312 0.930
B3 0.161 0.324 0.819
B4 0.202 0.672 0.774
B5 0.238 0.024 0.750
B6 0.373 0.209 0.428
B7 0.419 0.472 0.067
B8 0.453 0.749 0.682
O1 0.058 0.171 0.431
O2 0.095 0.490 0.063
O3 0.107 0.886 0.785
O4 0.119 0.143 0.972
O5 0.123 0.541 0.816
O6 0.123 0.787 0.429
O7 0.154 0.219 0.871
O8 0.207 0.226 0.766
O9 0.372 0.604 0.722
O10 0.377 0.990 0.566
O11 0.386 0.366 0.472
O12 0.404 0.959 0.698
O13 0.413 0.734 0.926
O14 0.426 0.322 0.371
O15 0.472 0.351 0.935
```

The 10 most intense peaks (2θ = 10–90°), by angle:
2θ = 14.41°, I = 33.5, hkl 0 1 1; 2θ = 14.61°, I = 46.9, hkl 0 1 -1; 2θ = 20.62°, I = 26.0, hkl 0 1 4; 2θ = 21.18°, I = 100.0, hkl 1 0 1; 2θ = 23.27°, I = 57.6, hkl 0 0 6; 2θ = 24.31°, I = 26.9, hkl 1 1 3; 2θ = 25.84°, I = 30.8, hkl 1 1 -3; 2θ = 28.20°, I = 41.5, hkl 1 -1 0; 2θ = 28.51°, I = 28.0, hkl 1 1 5; 2θ = 31.21°, I = 49.8, hkl 0 0 8